No. 1
# CoGePb2O6
Computed X-ray powder pattern, Cu Kα X-rays. Input: a DFT-relaxed cell (GGA+U, OQMD).
Neutral-atom scattering factors, no anomalous dispersion.

Structural model:
```
data_CoGePb2O6
_cell_length_a 5.452
_cell_length_b 5.452
_cell_length_c 7.867
_cell_angle_alpha 90.00
_cell_angle_beta 90.00
_cell_angle_gamma 90.00
_space_group_name_H-M_alt 'I 4/m m m'
_space_group_IT_number 139
_space_group_name_Hall '-I 4 2'
loop_
_atom_site_label
_atom_site_type_symbol
_atom_site_fract_x
_atom_site_fract_y
_atom_site_fract_z
_atom_site_occupancy
Co1 Co 0.000 0.000 0.000 1
Ge1 Ge 0.000 0.000 0.500 1
Pb1 Pb 0.000 0.500 0.250 1
O1 O 0.000 0.000 0.260 1
O2 O 0.248 0.248 0.500 1
```

Largest 12 diffraction maxima, in order of rising 2θ, 15 to 90 degrees two-theta:
(hkl), two_theta, Rel. int.
0 0 2, 22.61, 12.3
1 1 0, 23.07, 23.5
1 1 2, 32.52, 100.0
2 0 0, 32.86, 48.7
2 0 2, 40.25, 29.1
0 0 4, 46.16, 14.7
2 2 0, 47.15, 27.6
2 0 4, 57.81, 20.1
3 1 2, 58.45, 39.0
2 2 4, 68.11, 17.5
1 1 6, 76.79, 9.1
4 0 4, 86.97, 9.2



No. 2
# CoGe2PtO6
Computed X-ray powder pattern, Cu Kα X-rays. Input: a DFT-relaxed cell (GGA+U, OQMD).
Neutral-atom scattering factors, no anomalous dispersion.

Structural model:
```
data_CoGe2PtO6
_cell_length_a 5.0588
_cell_length_b 5.0588
_cell_length_c 15.8613
_cell_angle_alpha 90.00
_cell_angle_beta 90.00
_cell_angle_gamma 120.00
_space_group_name_H-M_alt 'R -3'
_space_group_IT_number 148
_space_group_name_Hall '-R 3'
loop_
_atom_site_label
_atom_site_type_symbol
_atom_site_fract_x
_atom_site_fract_y
_atom_site_fract_z
_atom_site_occupancy
Co1 Co 0.0000 0.0000 0.0000 1
Ge1 Ge 0.0000 0.0000 0.3178 1
Pt1 Pt 0.0000 0.0000 0.5000 1
O1 O 0.0122 0.6977 0.3981 1
```

Largest 12 diffraction maxima, in order of rising 2θ, 15 to 90 degrees two-theta:
(hkl), two_theta, Rel. int.
1 0 1, 21.04, 100.0
0 1 2, 23.19, 46.3
1 0 4, 30.40, 51.8
0 0 6, 33.91, 22.9
0 1 5, 34.92, 42.7
1 1 0, 35.49, 84.5
0 2 4, 47.41, 17.1
1 1 6, 49.90, 86.5
2 0 5, 50.64, 18.1
1 2 5, 63.35, 18.7
3 0 0, 63.73, 26.9
4 -2 6, 85.02, 17.5



No. 3
# CoGeSeO
Computed X-ray powder pattern, Cu Kα X-rays. Input: a DFT-relaxed cell (GGA+U, OQMD).
Neutral-atom scattering factors, no anomalous dispersion.

Structural model:
```
data_CoGeSeO
_cell_length_a 5.991
_cell_length_b 8.030
_cell_length_c 5.757
_cell_angle_alpha 90.00
_cell_angle_beta 90.00
_cell_angle_gamma 90.00
_space_group_name_H-M_alt 'P c a 21'
_space_group_IT_number 29
loop_
_space_group_symop_operation_xyz
'x,y,z'
'-x,-y,z+1/2'
'-x+1/2,y,z+1/2'
'x+1/2,-y,z'
loop_
_atom_site_label
_atom_site_type_symbol
_atom_site_fract_x
_atom_site_fract_y
_atom_site_fract_z
_atom_site_occupancy
Co1 Co 0.100 0.064 0.000 1
Ge1 Ge 0.056 0.681 0.906 1
Se1 Se 0.019 0.643 0.370 1
O1 O 0.162 0.979 0.691 1
```

Largest 12 diffraction maxima, in order of rising 2θ, 15 to 90 degrees two-theta:
(hkl), two_theta, Rel. int.
1 2 0, 26.73, 25.5
2 0 0, 29.83, 77.0
0 0 2, 31.05, 100.0
0 1 2, 33.06, 51.5
0 3 0, 33.48, 88.2
2 0 1, 33.73, 37.8
1 3 1, 40.08, 55.0
2 0 2, 43.61, 49.8
0 4 0, 45.13, 26.5
2 3 0, 45.44, 35.1
0 3 2, 46.32, 37.6
2 3 2, 56.07, 38.3



Question: Which formula does entry 2 have?
Answer: CoGe2PtO6